Structure and simulated X-ray powder pattern of AcErTiN3 (the GGA-PBE geometry in Alexandria; Cu Kα (weighted mean of Kα1 and Kα2)).
Peak positions follow from Bragg's law for the DFT cell and can differ from measured ones.

Structural model:
a b c (Å): 7.484 3.615 7.863
angles (deg): 90.00 102.34 90.00
Element x y z (fractional)
1 Ac 0.189 0.250 0.193
2 Ac 0.811 0.750 0.807
3 Er 0.359 0.750 0.850
4 Er 0.641 0.250 0.150
5 Ti 0.103 0.250 0.602
6 Ti 0.897 0.750 0.398
7 N 0.117 0.250 0.849
8 N 0.169 0.750 0.526
9 N 0.425 0.750 0.143
10 N 0.575 0.250 0.857
11 N 0.831 0.250 0.474
12 N 0.883 0.750 0.151

Principal peaks in the range 5 to 70 degrees two-theta, most intense first:
2θ (°)  d_spacing  I_rel
35.08  2.558  100
27.26  3.271  90
34.90  2.571  79
11.52  7.682  72
29.93  2.986  69
34.06  2.632  61